Diffraction record for Na2SrAg2. The XRD peak list is simulated, not measured: it uses a DFT-relaxed cell (PBE, Alexandria) and copper Kα.

Structure:
```
10
Lattice="8.7419 0.0000 0.0000 0.0000 8.7419 0.0000 0.0000 0.0000 3.5587" Properties=species:S:1:pos:R:3 pbc="T T T"
Na 1.0345 3.3365 0.0000
Na 3.3365 7.7074 0.0000
Na 5.4055 1.0345 0.0000
Na 7.7074 5.4055 0.0000
Sr 0.0000 0.0000 0.0000
Sr 4.3710 4.3710 0.0000
Ag 1.5857 5.9567 1.7794
Ag 2.7852 1.5857 1.7794
Ag 5.9567 7.1562 1.7794
Ag 7.1562 2.7852 1.7794
```

Top 8 peaks for 5° ≤ 2θ ≤ 70°, by angle:
two_theta, I/Imax, hkl
22.7, 37.7, 2 1 0
28.9, 37.6, 2 2 0
32.4, 100.0, 2 0 1
34.1, 63.7, 2 1 1
42.6, 20.3, 4 1 0
50.1, 22.3, 4 1 1
51.2, 20.9, 3 3 1
59.9, 14.5, 5 1 1